# 1
# PuHfBe17
Simulated XRD peak list, Cu Kα (λ = 1.5418 Å). Input: a cell relaxed with GGA-PBE.
Peak positions follow from Bragg's law for the DFT cell and can differ from measured ones.

Cell and atoms:
a = 5.7364 Å, b = 5.7364 Å, c = 5.7364 Å
α = 82.89°, β = 82.89°, γ = 82.89°
Fractional positions:
Pu 0.0000 0.0000 0.0000
Hf 0.3235 0.3235 0.3235
Be 0.0030 0.0030 0.5034
Be 0.0030 0.5034 0.0030
Be 0.1617 0.6577 0.6577
Be 0.3202 0.3202 0.8177
Be 0.3202 0.8177 0.3202
Be 0.3774 0.6594 0.9449
Be 0.3774 0.9449 0.6594
Be 0.5034 0.0030 0.0030
Be 0.5627 0.5627 0.5627
Be 0.6577 0.1617 0.6577
Be 0.6577 0.6577 0.1617
Be 0.6594 0.3774 0.9449
Be 0.6594 0.9449 0.3774
Be 0.7554 0.7554 0.7554
Be 0.8177 0.3202 0.3202
Be 0.9449 0.3774 0.6594
Be 0.9449 0.6594 0.3774

Principal peaks in the range 2θ = 10–90°, low angle first:
| Position (°2θ) | d/Å | Rel. int. |
| --- | --- | --- |
| 15.66 | 5.658 | 68 |
| 20.95 | 4.241 | 28 |
| 23.43 | 3.797 | 100 |
| 24.06 | 3.699 | 31 |
| 33.83 | 2.650 | 90 |
| 41.18 | 2.192 | 29 |
| 47.92 | 1.898 | 22 |
| 48.26 | 1.886 | 41 |
| 49.23 | 1.851 | 21 |
| 70.38 | 1.338 | 29 |

# 2
# Hf3Be2Rh5
Simulated XRD peak list, Cu Kα (λ = 1.5418 Å). Input: a cell relaxed with GGA-PBE.
Peak positions follow from Bragg's law for the DFT cell and can differ from measured ones.

Cell and atoms:
a = 9.4118 Å, b = 9.4118 Å, c = 3.3245 Å
α = 90.00°, β = 90.00°, γ = 90.00°
Fractional positions:
Hf 0.0000 0.0000 0.0000
Hf 0.1738 0.3262 0.0000
Hf 0.3262 0.8262 0.0000
Hf 0.5000 0.5000 0.0000
Hf 0.6738 0.1738 0.0000
Hf 0.8262 0.6738 0.0000
Be 0.1200 0.6200 0.0000
Be 0.3800 0.1200 0.0000
Be 0.6200 0.8800 0.0000
Be 0.8800 0.3800 0.0000
Rh 0.0000 0.5000 0.5000
Rh 0.0727 0.7849 0.5000
Rh 0.2151 0.0727 0.5000
Rh 0.2849 0.5727 0.5000
Rh 0.4273 0.2849 0.5000
Rh 0.5000 0.0000 0.5000
Rh 0.5727 0.7151 0.5000
Rh 0.7151 0.4273 0.5000
Rh 0.7849 0.9273 0.5000
Rh 0.9273 0.2151 0.5000

Principal peaks in the range 2θ = 10–90°, low angle first:
| Position (°2θ) | d/Å | Rel. int. |
| --- | --- | --- |
| 34.37 | 2.609 | 72 |
| 38.27 | 2.352 | 36 |
| 39.48 | 2.283 | 52 |
| 40.69 | 2.218 | 100 |
| 42.98 | 2.105 | 29 |
| 44.11 | 2.053 | 17 |
| 55.26 | 1.662 | 19 |
| 65.83 | 1.419 | 16 |
| 70.00 | 1.344 | 32 |
| 77.20 | 1.236 | 15 |

# 3
# Hf4BeRh
Simulated XRD peak list, Cu Kα (λ = 1.5418 Å). Input: a cell relaxed with GGA-PBE.
Peak positions follow from Bragg's law for the DFT cell and can differ from measured ones.

Cell and atoms:
a = 5.2982 Å, b = 5.2982 Å, c = 5.2982 Å
α = 103.73°, β = 103.73°, γ = 121.70°
Fractional positions:
Hf 0.0887 0.5887 0.1774
Hf 0.4113 0.9113 0.8226
Hf 0.5887 0.4113 0.5000
Hf 0.9113 0.0887 0.5000
Be 0.0000 0.0000 0.0000
Rh 0.5000 0.5000 0.0000

Principal peaks in the range 2θ = 10–90°, low angle first:
| Position (°2θ) | d/Å | Rel. int. |
| --- | --- | --- |
| 34.76 | 2.581 | 15 |
| 35.25 | 2.546 | 100 |
| 40.00 | 2.254 | 11 |
| 43.75 | 2.069 | 21 |
| 44.72 | 2.026 | 15 |
| 61.09 | 1.517 | 16 |
| 62.63 | 1.483 | 19 |
| 67.83 | 1.382 | 7 |
| 71.22 | 1.324 | 14 |
| 81.35 | 1.183 | 11 |

# 4
# HfBe9Rh2
Simulated XRD peak list, Cu Kα (λ = 1.5418 Å). Input: a cell relaxed with GGA-PBE.
Peak positions follow from Bragg's law for the DFT cell and can differ from measured ones.

Cell and atoms:
a = 4.4254 Å, b = 4.4254 Å, c = 13.8766 Å
α = 90.00°, β = 90.00°, γ = 120.00°
Fractional positions:
Hf 0.3333 0.6667 0.2500
Hf 0.6667 0.3333 0.7500
Be 0.0000 0.0000 0.0000
Be 0.0000 0.0000 0.2500
Be 0.0000 0.0000 0.5000
Be 0.0000 0.0000 0.7500
Be 0.1695 0.3391 0.6197
Be 0.1695 0.3391 0.8803
Be 0.1695 0.8305 0.6197
Be 0.1695 0.8305 0.8803
Be 0.3333 0.6667 0.7500
Be 0.3391 0.1695 0.1197
Be 0.3391 0.1695 0.3803
Be 0.6609 0.8305 0.6197
Be 0.6609 0.8305 0.8803
Be 0.6667 0.3333 0.2500
Be 0.8305 0.1695 0.1197
Be 0.8305 0.1695 0.3803
Be 0.8305 0.6609 0.1197
Be 0.8305 0.6609 0.3803
Rh 0.3333 0.6667 0.0435
Rh 0.3333 0.6667 0.4565
Rh 0.6667 0.3333 0.5435
Rh 0.6667 0.3333 0.9565

Principal peaks in the range 2θ = 10–90°, low angle first:
| Position (°2θ) | d/Å | Rel. int. |
| --- | --- | --- |
| 23.21 | 3.832 | 50 |
| 24.09 | 3.694 | 100 |
| 25.68 | 3.469 | 26 |
| 34.88 | 2.572 | 19 |
| 40.11 | 2.248 | 83 |
| 40.78 | 2.213 | 55 |
| 47.92 | 1.898 | 21 |
| 48.82 | 1.866 | 39 |
| 58.54 | 1.577 | 24 |
| 73.79 | 1.284 | 27 |